Record 1
Computed XRD peak list of KSrPrSbO6 for λ = 1.5418 Å (Cu Kα), from the GGA-PBE geometry in the Materials Project.
Kinematic intensities with the Lorentz-polarization factor, no thermal factor.

Structural model:
```
KSrPrSbO6
1.0
8.6152 0.0000 0.0000
0.0000 8.6325 0.0000
0.0000 0.0000 8.6582
K Sr Pr Sb O
4 4 4 4 24
direct
0.2500 0.2500 0.2500
0.2500 0.7500 0.7500
0.7500 0.2500 0.2500
0.7500 0.7500 0.7500
0.2500 0.2500 0.7500
0.2500 0.7500 0.2500
0.7500 0.2500 0.7500
0.7500 0.7500 0.2500
0.0000 0.0000 0.0000
0.0000 0.5000 0.5000
0.5000 0.0000 0.5000
0.5000 0.5000 0.0000
0.0000 0.0000 0.5000
0.0000 0.5000 0.0000
0.5000 0.0000 0.0000
0.5000 0.5000 0.5000
0.0205 0.2304 0.5355
0.0205 0.2696 0.9645
0.0232 0.0097 0.2698
0.0232 0.4903 0.2302
0.2302 0.5207 0.9817
0.2302 0.9793 0.5183
0.2698 0.5207 0.5183
0.2698 0.9793 0.9817
0.4768 0.0097 0.2302
0.4768 0.4903 0.2698
0.4795 0.2304 0.9645
0.4795 0.2696 0.5355
0.5205 0.7304 0.4645
0.5205 0.7696 0.0355
0.5232 0.5097 0.7302
0.5232 0.9903 0.7698
0.7302 0.0207 0.0183
0.7302 0.4793 0.4817
0.7698 0.0207 0.4817
0.7698 0.4793 0.0183
0.9768 0.5097 0.7698
0.9768 0.9903 0.7302
0.9795 0.7304 0.0355
0.9795 0.7696 0.4645
```

Main lines, sorted by position (2θ = 15–90°):
2θ = 20.55°, 4.323 Å, intensity 17
2θ = 20.62°, 4.308 Å, intensity 9
2θ = 29.25°, 3.053 Å, intensity 100
2θ = 41.73°, 2.165 Å, intensity 11
2θ = 41.90°, 2.156 Å, intensity 22
2θ = 51.84°, 1.764 Å, intensity 28
2θ = 51.94°, 1.761 Å, intensity 14
2θ = 60.62°, 1.528 Å, intensity 13
2θ = 83.71°, 1.155 Å, intensity 7
2θ = 83.94°, 1.153 Å, intensity 11


Record 2
Computed XRD peak list of LiCuF4 for λ = 1.5418 Å (Cu Kα), from the GGA-PBE geometry in the Materials Project.
Kinematic intensities with the Lorentz-polarization factor, no thermal factor.

Structural model:
```
LiCuF4
1.0
1.8825 -7.4599 0.0000
1.8825 7.4599 0.0000
0.0000 0.0000 5.1285
Li Cu F
2 2 8
direct
0.1890 0.8110 0.5000
0.8110 0.1890 0.0000
0.4093 0.5907 0.4903
0.5907 0.4093 0.9903
0.0928 0.9072 0.9919
0.3016 0.6984 0.6902
0.3420 0.6580 0.1795
0.4774 0.5226 0.8041
0.5226 0.4774 0.3041
0.6580 0.3420 0.6795
0.6984 0.3016 0.1902
0.9072 0.0928 0.4919
```

Main lines, sorted by position (2θ = 15–90°):
2θ = 21.02°, 4.226 Å, intensity 100
2θ = 23.86°, 3.730 Å, intensity 17
2θ = 24.38°, 3.651 Å, intensity 79
2θ = 29.61°, 3.016 Å, intensity 37
2θ = 34.62°, 2.591 Å, intensity 17
2θ = 48.35°, 1.883 Å, intensity 21
2θ = 51.17°, 1.785 Å, intensity 18
2θ = 52.19°, 1.753 Å, intensity 16
2θ = 53.00°, 1.728 Å, intensity 19
2θ = 53.27°, 1.720 Å, intensity 14


Record 3
Computed XRD peak list of Sr3CdO4 for λ = 1.5418 Å (Cu Kα), from the GGA-PBE geometry in the Materials Project.
Kinematic intensities with the Lorentz-polarization factor, no thermal factor.

Structural model:
```
Sr3CdO4
1.0
5.1097 0.0000 0.0000
0.0000 5.1097 0.0000
0.0000 0.0000 5.1097
Sr Cd O
3 1 4
direct
0.0000 0.0000 0.5000
0.0000 0.5000 0.0000
0.5000 0.0000 0.0000
0.5000 0.5000 0.5000
0.0000 0.0000 0.0000
0.0000 0.5000 0.5000
0.5000 0.0000 0.5000
0.5000 0.5000 0.0000
```

Main lines, sorted by position (2θ = 15–90°):
2θ = 17.36°, 5.110 Å, intensity 2
2θ = 24.64°, 3.613 Å, intensity 2
2θ = 30.30°, 2.950 Å, intensity 96
2θ = 35.12°, 2.555 Å, intensity 100
2θ = 50.52°, 1.807 Å, intensity 67
2θ = 60.05°, 1.541 Å, intensity 44
2θ = 63.02°, 1.475 Å, intensity 22
2θ = 74.24°, 1.277 Å, intensity 10
2θ = 82.24°, 1.172 Å, intensity 19
2θ = 84.87°, 1.143 Å, intensity 28


Record 4
Computed XRD peak list of K6MgSb2S8 for λ = 1.5418 Å (Cu Kα), from the GGA-PBE geometry in the Materials Project.
Kinematic intensities with the Lorentz-polarization factor, no thermal factor.

Structural model:
```
K6MgSb2S8
1.0
8.1450 0.0000 0.0000
0.0324 8.1576 0.0000
0.0502 1.1315 8.0841
K Mg Sb S
6 1 2 8
direct
0.0000 0.0000 0.0000
0.0009 0.4341 0.5651
0.5008 0.8729 0.4393
0.5147 0.9216 0.8988
0.5170 0.3319 0.4866
0.9474 0.4814 0.0444
0.3169 0.5822 0.1488
0.0106 0.9413 0.5074
0.5424 0.4058 0.9706
0.1164 0.7184 0.2839
0.2138 0.0882 0.6541
0.3339 0.5883 0.8242
0.3348 0.2581 0.1539
0.6082 0.6223 0.1878
0.7202 0.2423 0.8080
0.8358 0.7766 0.7071
0.8368 0.1412 0.3425
```

Main lines, sorted by position (2θ = 15–90°):
2θ = 15.44°, 5.740 Å, intensity 100
2θ = 16.55°, 5.355 Å, intensity 33
2θ = 21.82°, 4.072 Å, intensity 27
2θ = 22.00°, 4.041 Å, intensity 28
2θ = 28.24°, 3.161 Å, intensity 32
2θ = 29.00°, 3.079 Å, intensity 20
2θ = 31.12°, 2.874 Å, intensity 69
2θ = 31.25°, 2.862 Å, intensity 39
2θ = 33.47°, 2.678 Å, intensity 23
2θ = 40.26°, 2.240 Å, intensity 15


Record 5
Computed XRD peak list of Ba3Y4O9 for λ = 1.5418 Å (Cu Kα), from the GGA-PBE geometry in the Materials Project.
Kinematic intensities with the Lorentz-polarization factor, no thermal factor.

Structural model:
```
Ba3Y4O9
1.0
6.1607 0.0000 0.0000
3.0804 5.3353 0.0000
3.0804 1.7784 8.5679
Ba Y O
3 4 9
direct
0.0000 0.0000 0.0000
0.1753 0.1701 0.4994
0.5929 0.5791 0.2373
0.3046 0.3044 0.0892
0.4402 0.4281 0.7171
0.7403 0.7357 0.7796
0.8818 0.8628 0.4009
0.0283 0.1510 0.2428
0.0515 0.5840 0.9190
0.1277 0.7131 0.5762
0.1539 0.5881 0.2496
0.4590 0.0453 0.9164
0.5837 0.0189 0.2505
0.5863 0.4503 0.9167
0.5990 0.1135 0.5808
0.7264 0.5784 0.5825
```

Main lines, sorted by position (2θ = 15–90°):
2θ = 24.04°, 3.702 Å, intensity 17
2θ = 28.99°, 3.080 Å, intensity 100
2θ = 29.53°, 3.025 Å, intensity 81
2θ = 41.86°, 2.158 Å, intensity 45
2θ = 51.38°, 1.778 Å, intensity 24
2θ = 51.72°, 1.768 Å, intensity 36
2θ = 52.00°, 1.759 Å, intensity 12
2θ = 60.09°, 1.540 Å, intensity 20
2θ = 68.35°, 1.373 Å, intensity 14
2θ = 82.93°, 1.164 Å, intensity 11